Starting from DFT lattice parameters and positions (GGA+U), the XRD peak list of Li2VCrP4O14 was simulated for CuKα.
Neutral-atom scattering factors, no anomalous dispersion.

Largest 12 diffraction maxima, by angle, 10 to 90 degrees two-theta:
| hkl | 2θ/deg | Rel. int. |
| --- | --- | --- |
| 0 1 1 | 17.10 | 100 |
| 1 0 -1 | 22.00 | 21 |
| 1 1 1 | 22.38 | 49 |
| 0 1 -2 | 25.40 | 19 |
| 1 -1 0 | 26.67 | 23 |
| -1 1 1 | 28.83 | 25 |
| 1 0 -2 | 28.96 | 15 |
| 1 1 2 | 29.20 | 29 |
| 1 1 -2 | 29.35 | 27 |
| 1 2 1 | 29.64 | 14 |
| 1 2 -1 | 29.75 | 13 |
| 1 -2 1 | 39.51 | 12 |

Cell and atoms:
```
Li2VCrP4O14
1.0
4.883 0.000 0.000
2.215 6.664 0.000
0.033 0.025 8.249
Li V Cr P O
2 1 1 4 14
Direct
0.000 0.000 0.000 Li
0.355 0.657 0.500 Li
0.965 0.059 0.640 V
0.392 0.603 0.140 Cr
0.401 0.244 0.421 P
0.578 0.803 0.821 P
0.780 0.852 0.319 P
0.965 0.415 0.928 P
0.041 0.214 0.841 O
0.141 0.178 0.464 O
0.232 0.474 0.966 O
0.315 0.446 0.332 O
0.363 0.843 0.680 O
0.426 0.818 0.986 O
0.574 0.727 0.318 O
0.586 0.250 0.570 O
0.592 0.084 0.290 O
0.776 0.418 0.078 O
0.776 0.575 0.794 O
0.776 0.935 0.817 O
0.931 0.836 0.483 O
0.993 0.810 0.176 O
```